This entry pairs a crystal structure of NaTb2FeO5 with its computed powder X-ray diffraction pattern. Radiation: Cu Kα. Structure: the PBE+U geometry in Alexandria.

Crystal structure
```
data_NaTb2FeO5
_chemical_formula_sum 'Na2 Tb4 Fe2 O10'
_symmetry_space_group_name_H-M 'P 4/m b m'
_symmetry_Int_Tables_number 127
_symmetry_space_group_name_Hall '-P 4 2ab'
_cell_length_a 6.524
_cell_length_b 6.524
_cell_length_c 5.599
_cell_angle_alpha 90.00
_cell_angle_beta 90.00
_cell_angle_gamma 90.00
loop_
_atom_site_label
_atom_site_fract_x
_atom_site_fract_y
_atom_site_fract_z
_atom_site_occupancy
Na1 0.000 0.000 0.000 1
Tb1 0.178 0.322 0.500 1
Fe1 0.000 0.500 0.000 1
O1 0.000 0.000 0.500 1
O2 0.135 0.635 0.243 1
```

Main lines, by angle (2θ = 5–70°):
| d [Å] | 2θ/deg | I (rel.) | h k l |
| --- | --- | --- | --- |
| 5.599 | 15.83 | 99 | 0 0 1 |
| 2.918 | 30.64 | 40 | 2 1 0 |
| 2.819 | 31.75 | 84 | 2 0 1 |
| 2.800 | 31.97 | 37 | 0 0 2 |
| 2.587 | 34.67 | 100 | 2 1 1 |
| 2.020 | 44.87 | 69 | 2 1 2 |
| 1.936 | 46.94 | 28 | 3 1 1 |
| 1.523 | 60.83 | 29 | 4 1 1 |